The following is a calculated X-ray diffraction stick pattern of KSrPrBiO6. It was derived from a structure optimized by DFT (GGA-PBE), using Cu Kα X-rays.
No peak broadening, texture or thermal motion is included.

Most intense lines, 10 to 90 degrees two-theta, sorted by position:
2θ 20.05, rel. 18; 2θ 20.22, rel. 36; 2θ 28.63, rel. 100; 2θ 28.75, rel. 50; 2θ 50.63, rel. 23; 2θ 50.86, rel. 44

Cell and atoms:
```
KSrPrBiO6
1.0
8.767 0.000 0.000
0.000 8.797 0.000
0.000 0.000 8.859
K Sr Pr Bi O
4 4 4 4 24
direct
0.250 0.250 0.250 K
0.250 0.750 0.250 K
0.750 0.250 0.750 K
0.750 0.750 0.750 K
0.250 0.250 0.750 Sr
0.250 0.750 0.750 Sr
0.750 0.250 0.250 Sr
0.750 0.750 0.250 Sr
0.000 0.000 0.000 Pr
0.000 0.500 0.500 Pr
0.500 0.000 0.500 Pr
0.500 0.500 0.000 Pr
0.000 0.000 0.500 Bi
0.000 0.500 0.000 Bi
0.500 0.000 0.000 Bi
0.500 0.500 0.500 Bi
0.018 0.037 0.263 O
0.018 0.463 0.237 O
0.033 0.737 0.026 O
0.033 0.763 0.474 O
0.237 0.030 0.551 O
0.237 0.470 0.949 O
0.263 0.030 0.949 O
0.263 0.470 0.551 O
0.467 0.737 0.474 O
0.467 0.763 0.026 O
0.482 0.037 0.237 O
0.482 0.463 0.263 O
0.518 0.537 0.737 O
0.518 0.963 0.763 O
0.533 0.237 0.974 O
0.533 0.263 0.526 O
0.737 0.530 0.449 O
0.737 0.970 0.051 O
0.763 0.530 0.051 O
0.763 0.970 0.449 O
0.967 0.237 0.526 O
0.967 0.263 0.974 O
0.982 0.537 0.763 O
0.982 0.963 0.737 O
```

---

The following is a calculated X-ray diffraction stick pattern of KSrBi2O6. It was derived from a structure optimized by DFT (GGA-PBE), using Cu Kα X-rays.
No peak broadening, texture or thermal motion is included.

Most intense lines, 10 to 90 degrees two-theta, sorted by position:
2θ 20.37, rel. 24; 2θ 20.97, rel. 43; 2θ 29.40, rel. 100; 2θ 29.82, rel. 54; 2θ 42.68, rel. 27; 2θ 52.67, rel. 45

Cell and atoms:
```
KSrBi2O6
1.0
-2.996 2.996 4.359
2.996 -2.996 4.359
2.996 2.996 -4.359
K Sr Bi O
1 1 2 6
direct
0.000 0.000 0.000 K
0.500 0.500 0.000 Sr
0.250 0.750 0.500 Bi
0.750 0.250 0.500 Bi
0.000 0.500 0.500 O
0.077 0.458 0.000 O
0.458 0.077 0.000 O
0.500 0.000 0.500 O
0.542 0.542 0.619 O
0.923 0.923 0.381 O
```

---

The following is a calculated X-ray diffraction stick pattern of KSrBi2O5. It was derived from a structure optimized by DFT (GGA-PBE), using Cu Kα X-rays.
No peak broadening, texture or thermal motion is included.

Most intense lines, 10 to 90 degrees two-theta, sorted by position:
2θ 20.05, rel. 45; 2θ 22.58, rel. 20; 2θ 28.51, rel. 53; 2θ 30.38, rel. 100; 2θ 40.75, rel. 33; 2θ 51.67, rel. 46

Cell and atoms:
```
KSrBi2O5
1.0
4.428 0.000 0.000
0.000 4.428 0.000
0.000 0.000 7.874
K Sr Bi O
1 1 2 5
direct
0.000 0.000 0.000 K
0.000 0.000 0.500 Sr
0.500 0.500 0.234 Bi
0.500 0.500 0.766 Bi
0.000 0.500 0.256 O
0.000 0.500 0.744 O
0.500 0.000 0.256 O
0.500 0.000 0.744 O
0.500 0.500 0.500 O
```

---

The following is a calculated X-ray diffraction stick pattern of KSrZrBiO6. It was derived from a structure optimized by DFT (GGA-PBE), using Cu Kα X-rays.
No peak broadening, texture or thermal motion is included.

Most intense lines, 10 to 90 degrees two-theta, sorted by position:
2θ 18.27, rel. 16; 2θ 21.13, rel. 31; 2θ 30.06, rel. 100; 2θ 43.08, rel. 21; 2θ 53.35, rel. 28; 2θ 53.43, rel. 14

Cell and atoms:
```
KSrZrBiO6
1.0
8.393 0.000 0.000
0.000 8.405 0.000
0.000 0.000 8.429
K Sr Zr Bi O
4 4 4 4 24
direct
0.250 0.250 0.250 K
0.250 0.750 0.750 K
0.750 0.250 0.250 K
0.750 0.750 0.750 K
0.250 0.250 0.750 Sr
0.250 0.750 0.250 Sr
0.750 0.250 0.750 Sr
0.750 0.750 0.250 Sr
0.000 0.000 0.000 Zr
0.000 0.500 0.500 Zr
0.500 0.000 0.500 Zr
0.500 0.500 0.000 Zr
0.000 0.000 0.500 Bi
0.000 0.500 0.000 Bi
0.500 0.000 0.000 Bi
0.500 0.500 0.500 Bi
0.018 0.250 0.533 O
0.018 0.250 0.967 O
0.021 0.008 0.248 O
0.021 0.492 0.252 O
0.249 0.519 0.517 O
0.249 0.981 0.983 O
0.251 0.519 0.983 O
0.251 0.981 0.517 O
0.479 0.008 0.252 O
0.479 0.492 0.248 O
0.482 0.250 0.533 O
0.482 0.250 0.967 O
0.518 0.750 0.033 O
0.518 0.750 0.467 O
0.521 0.508 0.752 O
0.521 0.992 0.748 O
0.749 0.019 0.483 O
0.749 0.481 0.017 O
0.751 0.019 0.017 O
0.751 0.481 0.483 O
0.979 0.508 0.748 O
0.979 0.992 0.752 O
0.982 0.750 0.033 O
0.982 0.750 0.467 O
```

---

The following is a calculated X-ray diffraction stick pattern of KSrZrBiO6. It was derived from a structure optimized by DFT (GGA-PBE), using Cu Kα X-rays.
No peak broadening, texture or thermal motion is included.

Most intense lines, 10 to 90 degrees two-theta, sorted by position:
2θ 21.08, rel. 32; 2θ 29.99, rel. 100; 2θ 42.93, rel. 33; 2θ 53.25, rel. 41; 2θ 62.32, rel. 20; 2θ 86.40, rel. 22

Cell and atoms:
```
KSrZrBiO6
1.0
0.000 4.214 4.214
4.214 0.000 4.214
4.214 4.214 0.000
K Sr Zr Bi O
1 1 1 1 6
direct
0.000 0.000 0.000 K
0.500 0.500 0.500 Sr
0.750 0.750 0.750 Zr
0.250 0.250 0.250 Bi
0.501 0.501 0.999 O
0.501 0.999 0.501 O
0.501 0.999 0.999 O
0.999 0.501 0.501 O
0.999 0.501 0.999 O
0.999 0.999 0.501 O
```

---

The following is a calculated X-ray diffraction stick pattern of K9U6BiO24. It was derived from a structure optimized by DFT (GGA-PBE), using Cu Kα X-rays.
No peak broadening, texture or thermal motion is included.

Most intense lines, 10 to 90 degrees two-theta, sorted by position:
2θ 20.26, rel. 71; 2θ 28.80, rel. 100; 2θ 41.19, rel. 31; 2θ 46.31, rel. 34; 2θ 51.03, rel. 41; 2θ 82.30, rel. 23

Cell and atoms:
```
K9U6BiO24
1.0
8.767 0.000 0.000
0.000 8.767 0.000
0.000 0.000 8.767
K U Bi O
9 6 1 24
direct
0.000 0.000 0.000 K
0.248 0.248 0.248 K
0.248 0.248 0.752 K
0.248 0.752 0.248 K
0.248 0.752 0.752 K
0.752 0.248 0.248 K
0.752 0.248 0.752 K
0.752 0.752 0.248 K
0.752 0.752 0.752 K
0.000 0.000 0.500 U
0.000 0.500 0.000 U
0.000 0.500 0.500 U
0.500 0.000 0.000 U
0.500 0.000 0.500 U
0.500 0.500 0.000 U
0.500 0.500 0.500 Bi
0.000 0.000 0.285 O
0.000 0.000 0.715 O
0.000 0.255 0.500 O
0.000 0.285 0.000 O
0.000 0.500 0.255 O
0.000 0.500 0.745 O
0.000 0.715 0.000 O
0.000 0.745 0.500 O
0.231 0.500 0.500 O
0.255 0.000 0.500 O
0.255 0.500 0.000 O
0.285 0.000 0.000 O
0.500 0.000 0.255 O
0.500 0.000 0.745 O
0.500 0.231 0.500 O
0.500 0.255 0.000 O
0.500 0.500 0.231 O
0.500 0.500 0.769 O
0.500 0.745 0.000 O
0.500 0.769 0.500 O
0.715 0.000 0.000 O
0.745 0.000 0.500 O
0.745 0.500 0.000 O
0.769 0.500 0.500 O
```

---

The following is a calculated X-ray diffraction stick pattern of KZr2BiO6. It was derived from a structure optimized by DFT (GGA-PBE), using Cu Kα X-rays.
No peak broadening, texture or thermal motion is included.

Most intense lines, 10 to 90 degrees two-theta, sorted by position:
2θ 18.35, rel. 36; 2θ 30.18, rel. 100; 2θ 35.55, rel. 22; 2θ 43.21, rel. 32; 2θ 53.61, rel. 40; 2θ 87.08, rel. 21

Cell and atoms:
```
KZr2BiO6
1.0
0.000 4.188 4.188
4.188 0.000 4.188
4.188 4.188 0.000
K Zr Bi O
1 2 1 6
direct
0.000 0.000 0.000 K
0.250 0.250 0.250 Zr
0.750 0.750 0.750 Zr
0.500 0.500 0.500 Bi
0.000 0.000 0.500 O
0.000 0.500 0.000 O
0.000 0.500 0.500 O
0.500 0.000 0.000 O
0.500 0.000 0.500 O
0.500 0.500 0.000 O
```